Record 1
# Ac5Nd5Dy2
Calculated powder diffraction line list, CuKα. Input: a GGA-PBE-relaxed structure.

Cell and atoms:
abc: 9.526 9.526 10.405
angles: 122.87 122.87 36.52
Positions (direct):
Ac1 0.000 0.000 0.000
Ac2 0.122 0.122 0.459
Ac3 0.252 0.252 0.242
Ac4 0.748 0.748 0.758
Ac5 0.878 0.878 0.541
Nd1 0.377 0.377 0.046
Nd2 0.377 0.377 0.716
Nd3 0.500 0.500 0.500
Nd4 0.623 0.623 0.284
Nd5 0.623 0.623 0.954
Dy1 0.127 0.127 0.799
Dy2 0.873 0.873 0.201

Peak list (12 most intense, 2θ from 10° to 80°, most intense first)
2θ/deg	I_rel
29.79	100
29.64	73
29.55	72
29.94	50
42.56	46
58.58	30
52.92	30
52.77	28
53.06	20
58.38	16
49.09	13
61.88	12

***

Record 2
# CaAc14Er
Calculated powder diffraction line list, CuKα. Input: a GGA-PBE-relaxed structure.

Cell and atoms:
abc: 11.187 7.921 7.921
angles: 90.00 90.00 90.00
Positions (direct):
Ca1 0.000 0.000 0.000
Ac1 0.000 0.000 0.499
Ac2 0.000 0.499 0.000
Ac3 0.247 0.253 0.747
Ac4 0.247 0.746 0.746
Ac5 0.247 0.747 0.253
Ac6 0.248 0.254 0.254
Ac7 0.500 0.000 0.000
Ac8 0.500 0.500 0.500
Ac9 0.500 0.500 0.999
Ac10 0.500 0.999 0.500
Ac11 0.752 0.254 0.254
Ac12 0.753 0.253 0.747
Ac13 0.753 0.746 0.746
Ac14 0.753 0.747 0.253
Er1 0.000 0.500 0.500

Peak list (12 most intense, 2θ from 10° to 80°, most intense first)
2θ/deg	I_rel
27.60	100
31.97	52
54.35	47
45.85	39
73.77	19
76.02	18
56.98	14
66.81	4
66.91	2
17.71	1
15.83	1
23.84	1

***

Record 3
# Ho3Si2Ir
Calculated powder diffraction line list, CuKα. Input: a GGA-PBE-relaxed structure.

Cell and atoms:
abc: 11.471 4.173 11.177
angles: 90.00 90.00 90.00
Positions (direct):
Ho1 0.057 0.250 0.123
Ho2 0.120 0.750 0.558
Ho3 0.215 0.250 0.801
Ho4 0.285 0.750 0.301
Ho5 0.380 0.250 0.058
Ho6 0.443 0.750 0.623
Ho7 0.557 0.250 0.377
Ho8 0.620 0.750 0.942
Ho9 0.715 0.250 0.699
Ho10 0.785 0.750 0.199
Ho11 0.880 0.250 0.442
Ho12 0.943 0.750 0.877
Si1 0.019 0.750 0.312
Si2 0.194 0.750 0.997
Si3 0.306 0.250 0.497
Si4 0.481 0.250 0.812
Si5 0.519 0.750 0.188
Si6 0.694 0.750 0.503
Si7 0.806 0.250 0.003
Si8 0.981 0.250 0.688
Ir1 0.129 0.250 0.366
Ir2 0.371 0.750 0.866
Ir3 0.629 0.250 0.134
Ir4 0.871 0.750 0.634

Peak list (12 most intense, 2θ from 10° to 80°, most intense first)
2θ/deg	I_rel
32.21	100
35.68	82
43.40	68
27.61	41
38.95	40
30.96	35
41.98	34
32.99	30
11.05	26
40.12	23
51.66	23
24.61	23

***

Record 4
# Y3Ho8Zr
Calculated powder diffraction line list, CuKα. Input: a GGA-PBE-relaxed structure.

Cell and atoms:
abc: 8.337 8.337 8.337
angles: 117.72 117.72 93.99
Positions (direct):
Y1 0.000 0.000 0.000
Y2 0.250 0.750 0.500
Y3 0.750 0.250 0.500
Ho1 0.140 0.395 0.000
Ho2 0.235 0.235 0.537
Ho3 0.302 0.765 0.000
Ho4 0.395 0.140 0.000
Ho5 0.605 0.605 0.744
Ho6 0.698 0.698 0.463
Ho7 0.765 0.302 0.000
Ho8 0.860 0.860 0.256
Zr1 0.500 0.500 0.000

Peak list (12 most intense, 2θ from 10° to 80°, most intense first)
2θ/deg	I_rel
24.38	100
36.55	100
29.30	79
44.98	69
25.94	68
33.14	67
31.47	65
34.82	49
14.53	45
59.39	44
38.47	41
33.35	39